1.
Calculated powder diffraction line list of Ca2DySbO6 for copper Kα, from a DFT-relaxed cell (GGA-PBE, the Materials Project).
Kinematic intensities with the Lorentz-polarization factor, no thermal factor.

Principal peaks in the range 5 to 70 degrees two-theta, in order of rising 2θ:
2θ = 18.47°, I 1.7, (1 1 1); 2θ = 21.36°, I 57.6, (2 0 0); 2θ = 30.39°, I 100.0, (2 2 0); 2θ = 35.80°, I 2.0, (3 1 1); 2θ = 37.45°, I 3.4, (2 2 2); 2θ = 43.52°, I 34.9, (4 0 0); 2θ = 47.65°, I 1.4, (3 3 1); 2θ = 48.97°, I 25.0, (4 2 0); 2θ = 54.01°, I 39.3, (4 2 2); 2θ = 57.58°, I 0.6, (3 3 3); 2θ = 63.24°, I 20.8, (4 4 0); 2θ = 67.57°, I 11.7, (6 0 0)

Structure:
Unit cell a=8.318 b=8.318 c=8.318 alpha=90.00 beta=90.00 gamma=90.00
Space group Fm-3m (No. 225)
Symmetry-distinct sites (fractional):
Ca (0.250, 0.250, 0.250) (multiplicity 8)
Dy (0.000, 0.000, 0.000) (multiplicity 4)
Sb (0.000, 0.000, 0.500) (multiplicity 4)
O (0.000, 0.000, 0.262) (multiplicity 24)

2.
Calculated powder diffraction line list of Ba3SrNd2Cu6O14 for copper Kα, from a DFT-relaxed cell (GGA-PBE, the Materials Project).
Kinematic intensities with the Lorentz-polarization factor, no thermal factor.

Principal peaks in the range 5 to 70 degrees two-theta, in order of rising 2θ:
2θ = 7.49°, I 9.4, (0 0 2); 2θ = 22.65°, I 7.8, (0 1 0); 2θ = 32.28°, I 100.0, (1 0 6); 2θ = 32.38°, I 48.5, (1 1 0); 2θ = 39.85°, I 13.7, (1 1 6); 2θ = 46.17°, I 10.9, (0 0 12); 2θ = 46.33°, I 14.6, (0 2 0); 2θ = 46.55°, I 14.4, (2 0 0); 2θ = 57.52°, I 18.9, (1 1 12); 2θ = 57.62°, I 18.9, (1 2 6); 2θ = 57.76°, I 18.7, (2 1 6); 2θ = 67.78°, I 8.6, (2 2 0)

Structure:
Unit cell a=3.902 b=3.919 c=23.593 alpha=90.00 beta=90.00 gamma=90.00
Space group Pmm2 (No. 25)
Symmetry-distinct sites (fractional):
Ba (0.000, 0.000, 0.000) (multiplicity 1)
Ba (0.000, 0.000, 0.179) (multiplicity 1)
Ba (0.000, 0.000, 0.501) (multiplicity 1)
Sr (0.000, 0.000, 0.680) (multiplicity 1)
Nd (0.000, 0.000, 0.340) (multiplicity 1)
Nd (0.000, 0.000, 0.839) (multiplicity 1)
Cu (0.500, 0.500, 0.090) (multiplicity 1)
Cu (0.500, 0.500, 0.263) (multiplicity 1)
Cu (0.500, 0.500, 0.416) (multiplicity 1)
Cu (0.500, 0.500, 0.591) (multiplicity 1)
Cu (0.500, 0.500, 0.762) (multiplicity 1)
Cu (0.500, 0.500, 0.916) (multiplicity 1)
O (0.000, 0.500, 0.090) (multiplicity 1)
O (0.000, 0.500, 0.276) (multiplicity 1)
O (0.000, 0.500, 0.404) (multiplicity 1)
O (0.000, 0.500, 0.773) (multiplicity 1)
O (0.000, 0.500, 0.903) (multiplicity 1)
O (0.500, 0.000, 0.275) (multiplicity 1)
O (0.500, 0.000, 0.403) (multiplicity 1)
O (0.500, 0.000, 0.593) (multiplicity 1)
O (0.500, 0.000, 0.774) (multiplicity 1)
O (0.500, 0.000, 0.904) (multiplicity 1)
O (0.500, 0.500, 0.010) (multiplicity 1)
O (0.500, 0.500, 0.169) (multiplicity 1)
O (0.500, 0.500, 0.511) (multiplicity 1)
O (0.500, 0.500, 0.671) (multiplicity 1)

3.
Calculated powder diffraction line list of LiNb2Te4Cl10O for copper Kα, from a DFT-relaxed cell (GGA-PBE, the Materials Project).
Kinematic intensities with the Lorentz-polarization factor, no thermal factor.

Principal peaks in the range 5 to 70 degrees two-theta, in order of rising 2θ:
2θ = 12.95°, I 25.3, (0 1 1); 2θ = 14.43°, I 30.0, (1 1 0); 2θ = 15.08°, I 31.6, (0 1 -1); 2θ = 15.99°, I 100.0, (1 0 -1); 2θ = 18.83°, I 24.5, (1 -1 0); 2θ = 20.21°, I 67.1, (-1 1 1); 2θ = 22.80°, I 43.2, (1 0 -2); 2θ = 25.42°, I 31.0, (-1 1 2); 2θ = 30.71°, I 41.5, (1 2 -2); 2θ = 39.16°, I 22.0, (1 3 3); 2θ = 40.00°, I 20.3, (3 0 0); 2θ = 46.35°, I 21.0, (2 4 -1)

Structure:
Unit cell a=7.008 b=8.910 c=9.505 alpha=81.32 beta=88.88 gamma=74.61
Space group P1 (No. 1)
Symmetry-distinct sites (fractional):
Li (0.000, 0.000, 0.000) (multiplicity 1)
Nb (0.223, 0.362, 0.668) (multiplicity 1)
Nb (0.267, 0.627, 0.943) (multiplicity 1)
Te (0.561, 0.090, 0.150) (multiplicity 1)
Te (0.654, 0.806, 0.330) (multiplicity 1)
Te (0.828, 0.191, 0.300) (multiplicity 1)
Te (0.917, 0.907, 0.479) (multiplicity 1)
Cl (0.064, 0.222, 0.858) (multiplicity 1)
Cl (0.130, 0.490, 0.133) (multiplicity 1)
Cl (0.191, 0.181, 0.511) (multiplicity 1)
Cl (0.279, 0.827, 0.121) (multiplicity 1)
Cl (0.354, 0.516, 0.493) (multiplicity 1)
Cl (0.398, 0.795, 0.777) (multiplicity 1)
Cl (0.537, 0.200, 0.743) (multiplicity 1)
Cl (0.590, 0.481, 0.027) (multiplicity 1)
Cl (0.895, 0.527, 0.601) (multiplicity 1)
Cl (0.934, 0.801, 0.887) (multiplicity 1)
O (0.240, 0.499, 0.811) (multiplicity 1)